Structure and computed powder diffractogram of UInSi (DFT lattice parameters and positions (GGA-PBE); Cu Kα).
Kinematic intensities with the Lorentz-polarization factor, no thermal factor.

Principal peaks in the range 10 to 80 degrees two-theta, most intense first:
| Position (°2θ) | d/Å | Rel. int. |
| --- | --- | --- |
| 36.17 | 2.483 | 100.0 |
| 19.95 | 4.450 | 52.5 |
| 38.36 | 2.346 | 37.4 |
| 26.98 | 3.305 | 22.7 |
| 55.38 | 1.659 | 19.0 |
| 67.96 | 1.379 | 18.9 |

Structural model:
Cell: 4.691 14.093 3.742 Å, 90.00 90.00 90.00°
Space group Cmcm (No. 63)
Inequivalent atoms, fractional coordinates:
U (0.000, 0.060, 0.250) (multiplicity 4)
In (0.000, 0.266, 0.750) (multiplicity 4)
Si (0.000, 0.438, 0.250) (multiplicity 4)